Diffraction record for CdGaAg5. The powder diffractogram is computed, not measured: it uses a cell relaxed with PBE and Cu Kα, 1.54184 Å.
Intensities are scaled so that the largest is 100.

Largest 8 diffraction maxima, in order of falling intensity, 10 to 90 degrees two-theta:
| d/Å | 2θ/deg | I/Imax |
| --- | --- | --- |
| 2.328 | 38.7 | 100 |
| 2.134 | 42.3 | 42 |
| 1.266 | 75.0 | 26 |
| 2.790 | 32.1 | 20 |
| 1.509 | 61.4 | 13 |
| 1.388 | 67.5 | 13 |
| 1.606 | 57.4 | 10 |
| 2.437 | 36.9 | 10 |

Structural model:
Lattice parameters (Å, degrees): 4.2688 4.2688 7.3111 90.00 90.00 90.00
Fractional positions:
1 Cd 0.0000 0.0000 0.0000
2 Ga 0.5000 0.5000 0.5000
3 Ag 0.0000 0.5000 0.2825
4 Ag 0.0000 0.5000 0.7175
5 Ag 0.5000 0.0000 0.2825
6 Ag 0.5000 0.0000 0.7175
7 Ag 0.5000 0.5000 0.0000



Diffraction record for Ba5Hg. The powder diffractogram is computed, not measured: it uses a cell relaxed with PBE and Cu Kα, 1.54184 Å.
Intensities are scaled so that the largest is 100.

Largest 8 diffraction maxima, in order of falling intensity, 10 to 90 degrees two-theta:
| d/Å | 2θ/deg | I/Imax |
| --- | --- | --- |
| 3.519 | 25.3 | 100 |
| 3.290 | 27.1 | 98 |
| 2.405 | 37.4 | 44 |
| 3.612 | 24.6 | 43 |
| 2.009 | 45.1 | 36 |
| 2.924 | 30.6 | 32 |
| 3.184 | 28.0 | 31 |
| 7.308 | 12.1 | 31 |

Structural model:
Lattice parameters (Å, degrees): 8.7704 8.7704 9.1044 112.48 112.48 31.84
Fractional positions:
1 Ba 0.0000 0.0000 0.0000
2 Ba 0.0499 0.0499 0.5350
3 Ba 0.2831 0.2831 0.0304
4 Ba 0.3592 0.3592 0.6156
5 Ba 0.6828 0.6828 0.3005
6 Hg 0.6051 0.6051 0.8579



Diffraction record for Pm2Sm7Mg2. The powder diffractogram is computed, not measured: it uses a cell relaxed with PBE and Cu Kα, 1.54184 Å.
Intensities are scaled so that the largest is 100.

Largest 8 diffraction maxima, in order of falling intensity, 10 to 90 degrees two-theta:
| d/Å | 2θ/deg | I/Imax |
| --- | --- | --- |
| 2.912 | 30.7 | 100 |
| 2.906 | 30.8 | 99 |
| 2.525 | 35.5 | 68 |
| 1.782 | 51.3 | 36 |
| 1.521 | 60.9 | 35 |
| 2.507 | 35.8 | 34 |
| 1.777 | 51.4 | 24 |
| 1.513 | 61.3 | 21 |

Structural model:
Lattice parameters (Å, degrees): 6.1694 6.1750 9.4138 96.12 90.49 99.33
Fractional positions:
1 Pm 0.0418 0.2801 0.0951
2 Pm 0.9582 0.7199 0.9049
3 Sm 0.1413 0.8238 0.2766
4 Sm 0.2255 0.3598 0.4559
5 Sm 0.4118 0.4553 0.8176
6 Sm 0.5000 0.0000 0.0000
7 Sm 0.5882 0.5447 0.1824
8 Sm 0.7745 0.6402 0.5441
9 Sm 0.8587 0.1762 0.7234
10 Mg 0.3226 0.9055 0.6321
11 Mg 0.6774 0.0945 0.3679



Diffraction record for HfUOs. The powder diffractogram is computed, not measured: it uses a cell relaxed with PBE and Cu Kα, 1.54184 Å.
Intensities are scaled so that the largest is 100.

Largest 8 diffraction maxima, in order of falling intensity, 10 to 90 degrees two-theta:
| d/Å | 2θ/deg | I/Imax |
| --- | --- | --- |
| 2.390 | 37.6 | 100 |
| 2.449 | 36.7 | 59 |
| 1.402 | 66.7 | 39 |
| 1.732 | 52.9 | 21 |
| 1.369 | 68.5 | 13 |
| 1.095 | 89.5 | 10 |
| 1.195 | 80.3 | 9 |
| 1.225 | 78.0 | 7 |

Structural model:
Lattice parameters (Å, degrees): 5.5257 5.5257 5.5257 143.47 143.47 52.62
Fractional positions:
1 Hf 0.0000 0.0000 0.0000
2 U 0.3053 0.3053 0.0000
3 Os 0.6767 0.6767 0.0000



Diffraction record for Sm3GeSe2. The powder diffractogram is computed, not measured: it uses a cell relaxed with PBE and Cu Kα, 1.54184 Å.
Intensities are scaled so that the largest is 100.

Largest 8 diffraction maxima, in order of falling intensity, 10 to 90 degrees two-theta:
| d/Å | 2θ/deg | I/Imax |
| --- | --- | --- |
| 2.980 | 30.0 | 100 |
| 2.103 | 43.0 | 93 |
| 2.968 | 30.1 | 50 |
| 3.437 | 25.9 | 28 |
| 1.721 | 53.2 | 20 |
| 1.716 | 53.4 | 19 |
| 2.112 | 42.8 | 19 |
| 1.214 | 78.8 | 18 |

Structural model:
Lattice parameters (Å, degrees): 7.2862 7.2862 7.2862 146.31 131.92 59.99
Fractional positions:
1 Sm 0.0000 0.0000 0.0000
2 Sm 0.3396 0.3396 0.0000
3 Sm 0.6604 0.6604 0.0000
4 Ge 0.5000 0.0000 0.5000
5 Se 0.1678 0.6678 0.5000
6 Se 0.8322 0.3322 0.5000



Diffraction record for Pa2Ge4Os3. The powder diffractogram is computed, not measured: it uses a cell relaxed with PBE and Cu Kα, 1.54184 Å.
Intensities are scaled so that the largest is 100.

Largest 8 diffraction maxima, in order of falling intensity, 10 to 90 degrees two-theta:
| d/Å | 2θ/deg | I/Imax |
| --- | --- | --- |
| 2.306 | 39.1 | 100 |
| 6.111 | 14.5 | 80 |
| 2.406 | 37.4 | 68 |
| 2.238 | 40.3 | 58 |
| 2.179 | 41.4 | 46 |
| 3.109 | 28.7 | 40 |
| 2.052 | 44.1 | 37 |
| 2.587 | 34.7 | 34 |

Structural model:
Lattice parameters (Å, degrees): 7.8086 6.7093 5.5936 78.22 57.26 44.53
Fractional positions:
1 Pa 0.1233 0.1233 0.8767
2 Pa 0.8767 0.8767 0.1233
3 Ge 0.1740 0.4998 0.5002
4 Ge 0.4998 0.1740 0.8260
5 Ge 0.5002 0.8260 0.1740
6 Ge 0.8260 0.5002 0.4998
7 Os 0.0000 0.0000 0.5000
8 Os 0.5000 0.5000 0.0000
9 Os 0.5000 0.5000 0.5000



Diffraction record for KSn4S8. The powder diffractogram is computed, not measured: it uses a cell relaxed with PBE and Cu Kα, 1.54184 Å.
Intensities are scaled so that the largest is 100.

Largest 8 diffraction maxima, in order of falling intensity, 10 to 90 degrees two-theta:
| d/Å | 2θ/deg | I/Imax |
| --- | --- | --- |
| 6.486 | 13.7 | 100 |
| 2.809 | 31.9 | 76 |
| 3.387 | 26.3 | 70 |
| 1.986 | 45.7 | 65 |
| 2.162 | 41.8 | 41 |
| 1.899 | 47.9 | 25 |
| 1.256 | 75.7 | 21 |
| 1.147 | 84.5 | 20 |

Structural model:
Lattice parameters (Å, degrees): 7.9442 7.9442 7.9442 60.00 60.00 60.00
Fractional positions:
1 K 0.0000 0.0000 0.0000
2 Sn 0.3781 0.3781 0.3781
3 Sn 0.3781 0.3781 0.8658
4 Sn 0.3781 0.8658 0.3781
5 Sn 0.8658 0.3781 0.3781
6 S 0.1438 0.1438 0.1438
7 S 0.1438 0.1438 0.5685
8 S 0.1438 0.5685 0.1438
9 S 0.1543 0.6152 0.6152
10 S 0.5685 0.1438 0.1438
11 S 0.6152 0.1543 0.6152
12 S 0.6152 0.6152 0.1543
13 S 0.6152 0.6152 0.6152



Diffraction record for CaGeAs2O8. The powder diffractogram is computed, not measured: it uses a cell relaxed with PBE and Cu Kα, 1.54184 Å.
Intensities are scaled so that the largest is 100.

Largest 8 diffraction maxima, in order of falling intensity, 10 to 90 degrees two-theta:
| d/Å | 2θ/deg | I/Imax |
| --- | --- | --- |
| 3.383 | 26.3 | 100 |
| 2.397 | 37.5 | 39 |
| 2.387 | 37.7 | 25 |
| 1.956 | 46.4 | 20 |
| 1.510 | 61.4 | 18 |
| 7.778 | 11.4 | 18 |
| 1.515 | 61.2 | 17 |
| 1.384 | 67.7 | 12 |

Structural model:
Lattice parameters (Å, degrees): 8.2558 8.2558 8.2558 33.76 33.76 33.76
Fractional positions:
1 Ca 0.0000 0.0000 0.0000
2 Ge 0.5000 0.5000 0.5000
3 As 0.2422 0.2422 0.2422
4 As 0.7578 0.7578 0.7578
5 O 0.1363 0.4472 0.7536
6 O 0.2464 0.5528 0.8637
7 O 0.3149 0.3149 0.3149
8 O 0.4472 0.7536 0.1363
9 O 0.5528 0.8637 0.2464
10 O 0.6851 0.6851 0.6851
11 O 0.7536 0.1363 0.4472
12 O 0.8637 0.2464 0.5528